# Na2AlSnP3O12
Theoretical powder X-ray diffraction pattern, copper Kα. Input: a DFT-relaxed cell (GGA-PBE, the Materials Project).

Top 6 peaks for 10 to 90 degrees two-theta, in order of rising 2θ:
2θ = 14.24°, I = 100
2θ = 19.92°, I = 79
2θ = 20.44°, I = 44
2θ = 23.77°, I = 55
2θ = 31.78°, I = 53
2θ = 31.86°, I = 82

Crystal structure
a b c (Å): 8.689 8.689 8.923
angles (deg): 119.17 119.17 59.64
Positions (direct):
Na 0.002 0.502 0.254
Na 0.114 0.886 0.500
Na 0.502 0.002 0.754
Na 0.886 0.114 0.000
Al 0.148 0.640 0.689
Al 0.640 0.148 0.189
Sn 0.357 0.850 0.302
Sn 0.850 0.357 0.802
P 0.034 0.257 0.490
P 0.257 0.034 0.990
P 0.454 0.534 0.491
P 0.534 0.454 0.991
P 0.752 0.957 0.496
P 0.957 0.752 0.996
O 0.020 0.262 0.660
O 0.062 0.432 0.520
O 0.078 0.219 0.978
O 0.126 0.775 0.174
O 0.219 0.078 0.478
O 0.223 0.864 0.821
O 0.262 0.020 0.160
O 0.275 0.567 0.517
O 0.362 0.493 0.827
O 0.423 0.723 0.479
O 0.432 0.062 0.020
O 0.493 0.362 0.327
O 0.525 0.624 0.166
O 0.567 0.275 0.017
O 0.581 0.933 0.482
O 0.624 0.525 0.666
O 0.723 0.423 0.979
O 0.731 0.995 0.333
O 0.775 0.126 0.674
O 0.779 0.932 0.020
O 0.864 0.223 0.321
O 0.932 0.779 0.520
O 0.933 0.581 0.982
O 0.995 0.731 0.833


# BaSrLa4Be2O10
Theoretical powder X-ray diffraction pattern, copper Kα. Input: a DFT-relaxed cell (GGA-PBE, the Materials Project).

Top 6 peaks for 10 to 90 degrees two-theta, in order of rising 2θ:
2θ = 26.27°, I = 21
2θ = 28.83°, I = 77
2θ = 30.06°, I = 100
2θ = 30.29°, I = 64
2θ = 36.93°, I = 21
2θ = 38.67°, I = 22

Crystal structure
a b c (Å): 6.785 7.442 9.875
angles (deg): 90.00 90.59 90.00
Positions (direct):
Ba 0.082 0.000 0.324
Ba 0.918 0.500 0.676
Sr 0.417 0.003 0.825
Sr 0.583 0.503 0.175
La 0.073 0.543 0.324
La 0.094 0.266 0.021
La 0.409 0.268 0.523
La 0.431 0.554 0.831
La 0.569 0.054 0.169
La 0.591 0.768 0.477
La 0.906 0.766 0.979
La 0.927 0.043 0.676
Be 0.196 0.773 0.602
Be 0.311 0.768 0.097
Be 0.689 0.268 0.903
Be 0.804 0.273 0.398
O 0.016 0.273 0.486
O 0.141 0.780 0.771
O 0.159 0.252 0.783
O 0.188 0.581 0.065
O 0.201 0.959 0.063
O 0.310 0.961 0.567
O 0.317 0.584 0.572
O 0.342 0.275 0.276
O 0.375 0.765 0.266
O 0.483 0.268 0.992
O 0.517 0.768 0.008
O 0.625 0.265 0.734
O 0.658 0.775 0.724
O 0.683 0.084 0.428
O 0.690 0.461 0.433
O 0.799 0.459 0.937
O 0.812 0.081 0.935
O 0.841 0.752 0.217
O 0.859 0.280 0.229
O 0.984 0.773 0.514


Copy entry 2 word for word.
# BaSrLa4Be2O10
Theoretical powder X-ray diffraction pattern, copper Kα. Input: a DFT-relaxed cell (GGA-PBE, the Materials Project).

Top 6 peaks for 10 to 90 degrees two-theta, in order of rising 2θ:
2θ = 26.27°, I = 21
2θ = 28.83°, I = 77
2θ = 30.06°, I = 100
2θ = 30.29°, I = 64
2θ = 36.93°, I = 21
2θ = 38.67°, I = 22

Crystal structure
a b c (Å): 6.785 7.442 9.875
angles (deg): 90.00 90.59 90.00
Positions (direct):
Ba 0.082 0.000 0.324
Ba 0.918 0.500 0.676
Sr 0.417 0.003 0.825
Sr 0.583 0.503 0.175
La 0.073 0.543 0.324
La 0.094 0.266 0.021
La 0.409 0.268 0.523
La 0.431 0.554 0.831
La 0.569 0.054 0.169
La 0.591 0.768 0.477
La 0.906 0.766 0.979
La 0.927 0.043 0.676
Be 0.196 0.773 0.602
Be 0.311 0.768 0.097
Be 0.689 0.268 0.903
Be 0.804 0.273 0.398
O 0.016 0.273 0.486
O 0.141 0.780 0.771
O 0.159 0.252 0.783
O 0.188 0.581 0.065
O 0.201 0.959 0.063
O 0.310 0.961 0.567
O 0.317 0.584 0.572
O 0.342 0.275 0.276
O 0.375 0.765 0.266
O 0.483 0.268 0.992
O 0.517 0.768 0.008
O 0.625 0.265 0.734
O 0.658 0.775 0.724
O 0.683 0.084 0.428
O 0.690 0.461 0.433
O 0.799 0.459 0.937
O 0.812 0.081 0.935
O 0.841 0.752 0.217
O 0.859 0.280 0.229
O 0.984 0.773 0.514